1.
Structure and calculated X-ray powder pattern of TiWSeN2 (a DFT-relaxed cell (GGA-PBE, Alexandria); copper Kα).

Most intense lines, 10 to 90 degrees two-theta, in order of rising 2θ:
d (Å)	intensity	h k l
3.898	100	1 0 0
3.115	56	1 0 1
2.756	72	1 1 0
2.590	43	0 0 2
2.157	42	1 0 2
1.949	37	2 0 0
1.887	49	1 1 2
1.743	22	2 1 0
1.557	35	2 0 2
1.446	24	2 1 2

Structure:
abc: 3.8978 3.8978 5.1804
angles: 90.00 90.00 90.00
Space group P4/mmm (No. 123)
Asymmetric unit:
Ti (0.0000, 0.0000, 0.0000)
W (0.5000, 0.5000, 0.5000)
Se (0.5000, 0.5000, 0.0000)
N (0.0000, 0.5000, 0.5000)



2.
Structure and calculated X-ray powder pattern of TmSeN (a DFT-relaxed cell (GGA-PBE, Alexandria); copper Kα).

Most intense lines, 10 to 90 degrees two-theta, in order of rising 2θ:
d (Å)	intensity	h k l
8.135	68	1 0 0
4.068	25	2 0 0
3.562	12	1 1 0
2.790	100	1 1 -2
2.712	32	3 0 0
2.136	51	2 1 2
2.025	15	1 0 -4
1.981	12	0 2 0
1.797	23	4 1 -2
1.600	12	3 2 0

Structure:
abc: 8.3792 3.9617 8.1014
angles: 90.00 103.85 90.00
Space group P2_1/c (No. 14)
Asymmetric unit:
Tm (0.1699, 0.2449, 0.4179)
Se (0.1818, 0.7495, 0.6708)
N (0.4380, 0.0729, 0.4848)



3.
Structure and calculated X-ray powder pattern of Zr7Se8N4 (a DFT-relaxed cell (GGA-PBE, Alexandria); copper Kα).

Most intense lines, 10 to 90 degrees two-theta, in order of rising 2θ:
d (Å)	intensity	h k l
3.885	41	0 1 -2
3.562	43	1 -2 0
3.407	33	2 0 -1
3.206	100	1 1 1
2.645	42	1 1 -3
2.343	38	1 -3 2
2.322	30	2 2 -2
2.301	44	3 0 -1
2.133	38	0 3 -3
2.068	35	0 3 1

Structure:
abc: 7.0124 7.7891 8.0791
angles: 107.63 102.74 100.07
Space group P1 (No. 1)
Asymmetric unit:
Zr (0.0000, 0.0000, 0.0000)
Zr (0.1127, 0.7192, 0.2793)
Zr (0.2726, 0.1951, 0.5243)
Zr (0.3959, 0.8153, 0.8206)
Zr (0.6329, 0.4493, 0.1095)
Zr (0.7482, 0.9400, 0.2735)
Zr (0.8786, 0.5737, 0.5740)
Se (0.2221, 0.5298, 0.4921)
Se (0.3177, 0.1576, 0.8644)
Se (0.3794, 0.6705, 0.0812)
Se (0.4828, 0.9380, 0.5340)
Se (0.5388, 0.2542, 0.3063)
Se (0.6026, 0.5042, 0.7651)
Se (0.9319, 0.2286, 0.6034)
Se (0.9521, 0.3620, 0.0412)
N (0.0594, 0.7795, 0.8055)
N (0.0728, 0.9818, 0.2622)
N (0.7066, 0.9366, 0.0057)
N (0.8271, 0.6880, 0.3397)



4.
Structure and calculated X-ray powder pattern of Si2N (a DFT-relaxed cell (GGA-PBE, Alexandria); copper Kα).

Most intense lines, 10 to 90 degrees two-theta, in order of rising 2θ:
d (Å)	intensity	h k l
4.915	100	2 0 0
4.158	45	1 1 0
3.722	52	2 0 -1
2.948	42	1 1 1
2.480	16	3 1 -1
2.365	17	4 0 -1
2.237	13	2 0 -2
2.155	36	3 1 1
2.068	21	1 1 -2
1.794	26	5 1 -1

Structure:
abc: 10.0260 4.5888 4.6357
angles: 90.00 101.33 90.00
Space group C2 (No. 5)
Asymmetric unit:
Si (0.1192, 0.0000, 0.0734)
Si (0.2470, 0.4072, 0.2922)
N (0.1822, 0.7502, 0.3652)